(1)
Li4Ni3TeO8: simulated XRD peak list (Cu Ka), based on a DFT-relaxed cell (PBE+U, the Materials Project).

Peak list (10 most intense, 10° ≤ 2θ ≤ 80°, low angle first)
| 2θ/deg | intensity |
| --- | --- |
| 18.04 | 14.4 |
| 18.25 | 100.0 |
| 34.89 | 50.2 |
| 36.54 | 22.8 |
| 42.58 | 70.1 |
| 46.68 | 18.6 |
| 56.50 | 15.1 |
| 61.48 | 20.6 |
| 62.09 | 19.7 |
| 64.71 | 18.2 |

Structure:
```
16
Lattice="3.0164 1.7415 4.8605 -3.0164 1.7415 4.8605 0.0000 -3.4831 4.8605" Properties=species:S:1:pos:R:3 pbc="T T T"
Li 0.0000 0.0000 0.0000
Li -1.5082 -0.8708 4.8605
Li -1.5082 0.8708 9.7210
Li 0.0000 1.7415 4.8605
Ni -3.0164 0.0000 7.2908
Ni -1.5082 0.8708 2.4303
Ni 1.5082 0.8708 2.4303
Te 0.0000 0.0000 7.2908
O 0.0000 0.0000 3.5082
O 0.0000 -1.6095 6.1637
O -1.3938 0.8047 6.1637
O -1.3938 -0.8047 8.4179
O 1.3938 0.8047 6.1637
O 1.3938 -0.8047 8.4179
O 0.0000 1.6095 8.4179
O 0.0000 0.0000 11.0734
```

(2)
Ba2V2O5: simulated XRD peak list (Cu Ka), based on a DFT-relaxed cell (PBE+U, the Materials Project).

Peak list (10 most intense, 10° ≤ 2θ ≤ 80°, low angle first)
| 2θ/deg | intensity |
| --- | --- |
| 22.03 | 19.1 |
| 30.79 | 100.0 |
| 31.35 | 38.9 |
| 38.19 | 27.3 |
| 43.26 | 14.7 |
| 44.93 | 27.8 |
| 54.40 | 17.0 |
| 55.46 | 36.6 |
| 64.14 | 16.8 |
| 65.43 | 8.3 |

Structure:
```
9
Lattice="4.0348 0.0000 0.0000 0.0000 4.0348 0.0000 0.0000 0.0000 8.3648" Properties=species:S:1:pos:R:3 pbc="T T T"
Ba 0.0000 0.0000 0.0000
Ba 0.0000 0.0000 4.1824
V 2.0174 2.0174 2.0004
V 2.0174 2.0174 6.3643
O 0.0000 2.0174 2.2796
O 0.0000 2.0174 6.0851
O 2.0174 0.0000 2.2796
O 2.0174 0.0000 6.0851
O 2.0174 2.0174 0.0000
```

(3)
Mg14CrNiO16: simulated XRD peak list (Cu Ka), based on a DFT-relaxed cell (PBE+U, the Materials Project).

Peak list (10 most intense, 10° ≤ 2θ ≤ 80°, low angle first)
| 2θ/deg | intensity |
| --- | --- |
| 14.74 | 12.3 |
| 20.91 | 5.8 |
| 25.45 | 6.6 |
| 36.47 | 27.3 |
| 41.97 | 52.4 |
| 42.55 | 100.0 |
| 61.30 | 57.7 |
| 61.75 | 28.1 |
| 73.88 | 10.0 |
| 77.48 | 25.9 |

Structure:
```
32
Lattice="8.4985 0.0000 0.0000 0.0000 8.4985 0.0000 0.0000 0.0000 4.3054" Properties=species:S:1:pos:R:3 pbc="T T T"
Mg 0.0000 2.1018 0.0000
Mg 0.0000 4.2492 2.1527
Mg 0.0000 6.3966 0.0000
Mg 2.1018 0.0000 0.0000
Mg 2.1002 2.1002 2.1527
Mg 2.1002 6.3982 2.1527
Mg 2.1144 4.2492 0.0000
Mg 4.2492 0.0000 2.1527
Mg 4.2492 2.1144 0.0000
Mg 4.2492 6.3840 0.0000
Mg 6.3840 4.2492 0.0000
Mg 6.3966 0.0000 0.0000
Mg 6.3982 2.1002 2.1527
Mg 6.3982 6.3982 2.1527
Cr 4.2492 4.2492 2.1527
Ni 0.0000 0.0000 2.1527
O 0.0000 0.0000 0.0000
O 0.0000 2.1697 2.1527
O 0.0000 4.2492 0.0000
O 0.0000 6.3288 2.1527
O 2.1286 2.1286 0.0000
O 2.1286 6.3699 0.0000
O 2.1361 4.2492 2.1527
O 2.1697 0.0000 2.1527
O 4.2492 0.0000 0.0000
O 4.2492 2.1361 2.1527
O 4.2492 4.2492 0.0000
O 4.2492 6.3623 2.1527
O 6.3288 0.0000 2.1527
O 6.3623 4.2492 2.1527
O 6.3699 2.1286 0.0000
O 6.3699 6.3699 0.0000
```